Diffraction record for HfCrBO5. The powder X-ray diffraction pattern is computed, not measured: it uses DFT lattice parameters and positions (PBE+U) and copper Kα.
No peak broadening, texture or thermal motion is included.

Largest 10 diffraction maxima, in order of falling intensity, 10 to 90 degrees two-theta:
2theta	intensity
27.02	100
19.07	90
37.00	61
34.27	53
31.37	41
22.08	38
46.32	24
59.62	22
49.27	20
50.48	20

Structural model:
Cell lengths 5.0708, 5.0708, 7.4440 Å; angles 103.36, 103.36, 105.11 degrees
Fractional positions:
Hf 0.0000 0.0000 0.0000
Hf 0.0000 0.0000 0.5000
Cr 0.3510 0.6490 0.7500
Cr 0.6490 0.3510 0.2500
B 0.3189 0.6811 0.2500
B 0.6811 0.3189 0.7500
O 0.0703 0.6573 0.3297
O 0.1133 0.8867 0.7500
O 0.2919 0.4160 0.0990
O 0.3427 0.9297 0.1703
O 0.4160 0.2919 0.5990
O 0.5840 0.7081 0.4010
O 0.6573 0.0703 0.8297
O 0.7081 0.5840 0.9010
O 0.8867 0.1133 0.2500
O 0.9297 0.3427 0.6703